Starting from a crystal structure in the Materials Project, relaxed with PBE, the XRD peak list of KLi3SiO4 was simulated for Cu Kα (λ = 1.5418 Å).
Neutral-atom scattering factors, no anomalous dispersion.

Top 10 peaks for 10 to 90 degrees two-theta, by angle:
15.81°, intensity 542
18.65°, intensity 305
21.56°, intensity 266
22.96°, intensity 335
35.70°, intensity 728
35.96°, intensity 666
37.47°, intensity 421
37.61°, intensity 962
37.73°, intensity 1000
37.82°, intensity 309

```
KLi3SiO4
1.0
5.812 0.000 0.000
1.267 7.327 0.000
2.290 0.644 9.536
K Li Si O
4 12 4 16
direct
0.005 0.383 0.384
0.042 0.141 0.129
0.958 0.859 0.871
0.995 0.617 0.616
0.187 0.451 0.895
0.200 0.170 0.645
0.207 0.939 0.397
0.432 0.050 0.874
0.465 0.574 0.371
0.483 0.328 0.111
0.517 0.672 0.889
0.535 0.426 0.629
0.568 0.950 0.126
0.793 0.061 0.603
0.800 0.830 0.355
0.813 0.549 0.105
0.161 0.708 0.149
0.440 0.787 0.637
0.560 0.213 0.363
0.839 0.292 0.851
0.126 0.207 0.850
0.183 0.712 0.314
0.196 0.499 0.092
0.206 0.923 0.596
0.346 0.617 0.751
0.350 0.832 0.042
0.392 0.318 0.502
0.406 0.108 0.282
0.594 0.892 0.718
0.608 0.682 0.498
0.650 0.168 0.958
0.654 0.383 0.249
0.794 0.077 0.404
0.804 0.501 0.908
0.817 0.288 0.686
0.874 0.793 0.150
```


Starting from a crystal structure in the Materials Project, relaxed with PBE, the XRD peak list of KLiSnO2 was simulated for Cu Kα (λ = 1.5418 Å).
Neutral-atom scattering factors, no anomalous dispersion.

Top 10 peaks for 10 to 90 degrees two-theta, by angle:
16.05°, intensity 750
17.94°, intensity 595
22.24°, intensity 651
24.48°, intensity 551
25.95°, intensity 686
27.06°, intensity 939
27.83°, intensity 947
32.37°, intensity 581
36.02°, intensity 1000
43.27°, intensity 547

```
KLiSnO2
1.0
6.909 -1.694 0.000
6.909 1.694 0.000
-6.010 0.000 7.996
K Li Sn O
2 2 2 4
direct
0.004 0.004 0.196
0.996 0.996 0.804
0.257 0.257 0.924
0.743 0.743 0.076
0.302 0.302 0.338
0.698 0.698 0.662
0.322 0.322 0.793
0.333 0.333 0.161
0.667 0.667 0.839
0.678 0.678 0.207
```


> Which formula does entry 2 have?

KLiSnO2